Diffraction record for HoMgGaO4. The powder diffraction line list is simulated, not measured: it uses a crystal structure in Alexandria, relaxed with PBE and Cu Kα X-rays.
Neutral-atom scattering factors, no anomalous dispersion.

Structure:
```
14
Lattice="-3.0899 3.1971 4.3679 3.0899 -3.1971 4.3679 3.0899 3.1971 -4.3679" Properties=species:S:1:pos:R:3 pbc="T T T"
Ho 0.0000 0.0000 0.0000
Ho 0.0000 3.1971 0.0000
Mg -1.5450 1.5985 2.1839
Mg 1.5450 1.5985 2.1839
Ga 3.0899 1.5985 -1.0837
Ga 0.0000 1.5985 5.4516
O 3.0899 0.0314 2.1300
O 1.5549 1.5985 0.0621
O 4.6250 1.5985 0.0621
O 0.0000 0.0314 2.2379
O 3.0899 3.1657 2.1300
O -1.5351 1.5985 4.3058
O 1.5351 1.5985 4.3058
O 0.0000 3.1657 2.2379
```

Largest 6 diffraction maxima, sorted by position, 10° ≤ 2θ ≤ 90°:
| Position (°2θ) | I (rel.) |
| --- | --- |
| 17.6 | 60 |
| 20.3 | 35 |
| 28.9 | 35 |
| 33.2 | 100 |
| 34.0 | 48 |
| 59.3 | 40 |